Calculated XRD peak list of Cd3Ag7Au2 for copper Kα, from a structure optimized by DFT (GGA-PBE).
Lines closer than 0.1° are merged.

Peak list (10 most intense, 5° ≤ 2θ ≤ 70°, sorted by position)
35.88 deg, I 23; 36.01 deg, I 20; 37.15 deg, I 100; 38.25 deg, I 26; 38.39 deg, I 24; 39.96 deg, I 22; 40.11 deg, I 21; 45.60 deg, I 18; 60.36 deg, I 14; 63.55 deg, I 12

Structural model:
Cell lengths 3.0670, 5.0132, 14.6360 Å; angles 94.29, 95.97, 90.30 degrees
Space group P-1 (No. 2)
Asymmetric unit:
Cd  0.0000  0.0000  0.0000 (multiplicity 1)
Cd  0.3302  0.1367  0.6665 (multiplicity 2)
Ag  0.0832  0.6827  0.1648 (multiplicity 2)
Ag  0.2509  0.7493  0.5016 (multiplicity 2)
Ag  0.4154  0.8142  0.8329 (multiplicity 2)
Ag  0.5000  0.5000  0.0000 (multiplicity 1)
Au  0.1698  0.3664  0.3330 (multiplicity 2)